No. 1
# Li5Mn3O8
Computed PXRD pattern, CuKα. Input: a structure optimized by DFT (GGA+U).

Structure:
```
Li5Mn3O8
1.0
2.911 0.000 0.000
0.026 5.097 0.000
0.270 1.779 9.664
Li Mn O
5 3 8
Direct
0.000 0.000 0.000
0.000 0.500 0.500
0.499 0.247 0.742
0.500 0.000 0.500
0.501 0.753 0.258
0.005 0.232 0.260
0.500 0.500 0.000
0.995 0.768 0.740
0.005 0.100 0.636
0.031 0.601 0.121
0.483 0.862 0.862
0.495 0.360 0.360
0.505 0.640 0.640
0.517 0.138 0.138
0.969 0.399 0.879
0.995 0.900 0.364
```

Principal peaks in the range 2θ from 5° to 70°, in order of falling intensity:
- d = 4.822 Å, 2θ = 18.40°, intensity 100.0
- d = 2.103 Å, 2θ = 43.01°, intensity 29.2
- d = 9.664 Å, 2θ = 9.15°, intensity 28.5
- d = 2.076 Å, 2θ = 43.59°, intensity 27.1
- d = 2.051 Å, 2θ = 44.15°, intensity 26.9
- d = 2.521 Å, 2θ = 35.61°, intensity 15.3
- d = 1.455 Å, 2θ = 64.00°, intensity 14.3
- d = 2.511 Å, 2θ = 35.77°, intensity 12.3
- d = 2.464 Å, 2θ = 36.47°, intensity 9.7
- d = 1.470 Å, 2θ = 63.25°, intensity 7.3
- d = 1.483 Å, 2θ = 62.66°, intensity 7.3
- d = 1.485 Å, 2θ = 62.54°, intensity 7.1

No. 2
# V3P2O8
Computed PXRD pattern, CuKα. Input: a structure optimized by DFT (GGA+U).

Structure:
```
V3P2O8
1.0
8.759 0.000 0.000
0.000 11.619 0.000
-1.045 0.000 6.310
V P O
12 8 32
Direct
0.070 0.115 0.137
0.070 0.385 0.637
0.277 0.086 0.669
0.277 0.414 0.169
0.361 0.690 0.617
0.361 0.810 0.117
0.639 0.190 0.883
0.639 0.310 0.383
0.723 0.586 0.831
0.723 0.914 0.331
0.930 0.615 0.363
0.930 0.885 0.863
0.090 0.633 0.887
0.090 0.867 0.387
0.397 0.088 0.195
0.397 0.412 0.695
0.603 0.588 0.305
0.603 0.912 0.805
0.910 0.133 0.613
0.910 0.367 0.113
0.065 0.199 0.604
0.065 0.301 0.104
0.074 0.567 0.672
0.074 0.933 0.172
0.132 0.561 0.091
0.132 0.939 0.591
0.224 0.720 0.872
0.224 0.780 0.372
0.272 0.079 0.992
0.272 0.421 0.492
0.298 0.128 0.361
0.298 0.372 0.861
0.478 0.531 0.748
0.478 0.969 0.248
0.481 0.681 0.334
0.481 0.819 0.834
0.519 0.181 0.166
0.519 0.319 0.666
0.522 0.031 0.752
0.522 0.469 0.252
0.702 0.628 0.139
0.702 0.872 0.639
0.728 0.579 0.508
0.728 0.921 0.008
0.776 0.220 0.628
0.776 0.280 0.128
0.868 0.061 0.409
0.868 0.439 0.909
0.926 0.067 0.828
0.926 0.433 0.328
0.935 0.699 0.896
0.935 0.801 0.396
```

Principal peaks in the range 2θ from 5° to 70°, in order of falling intensity:
- d = 2.883 Å, 2θ = 31.02°, intensity 100.0
- d = 3.534 Å, 2θ = 25.20°, intensity 82.6
- d = 2.721 Å, 2θ = 32.92°, intensity 51.8
- d = 3.133 Å, 2θ = 28.49°, intensity 38.8
- d = 2.999 Å, 2θ = 29.79°, intensity 32.0
- d = 3.025 Å, 2θ = 29.53°, intensity 31.0
- d = 2.905 Å, 2θ = 30.78°, intensity 28.7
- d = 1.994 Å, 2θ = 45.49°, intensity 26.2
- d = 3.045 Å, 2θ = 29.34°, intensity 17.7
- d = 1.865 Å, 2θ = 48.83°, intensity 17.4
- d = 1.631 Å, 2θ = 56.43°, intensity 17.3
- d = 2.418 Å, 2θ = 37.18°, intensity 16.2

No. 3
# Ba2Mg3Mn4Tl2O12
Computed PXRD pattern, CuKα. Input: a structure optimized by DFT (GGA+U).

Structure:
```
Ba2Mg3Mn4Tl2O12
1.0
-1.918 1.918 22.907
1.918 -1.918 22.907
1.918 1.918 -22.907
Ba Mg Mn Tl O
2 3 4 2 12
Direct
0.163 0.163 0.000
0.837 0.837 0.000
0.000 0.000 0.000
0.078 0.078 0.000
0.922 0.922 0.000
0.392 0.392 0.000
0.464 0.464 0.000
0.536 0.536 0.000
0.608 0.608 0.000
0.275 0.275 0.000
0.725 0.725 0.000
0.030 0.530 0.500
0.095 0.595 0.500
0.221 0.221 0.000
0.348 0.348 0.000
0.405 0.905 0.500
0.470 0.970 0.500
0.530 0.030 0.500
0.595 0.095 0.500
0.652 0.652 0.000
0.779 0.779 0.000
0.905 0.405 0.500
0.970 0.470 0.500
```

Principal peaks in the range 2θ from 5° to 70°, in order of falling intensity:
- d = 3.064 Å, 2θ = 29.15°, intensity 100.0
- d = 2.713 Å, 2θ = 33.02°, intensity 70.1
- d = 2.822 Å, 2θ = 31.71°, intensity 60.8
- d = 3.310 Å, 2θ = 26.94°, intensity 52.7
- d = 1.918 Å, 2θ = 47.39°, intensity 40.9
- d = 2.694 Å, 2θ = 33.26°, intensity 34.9
- d = 2.863 Å, 2θ = 31.24°, intensity 33.6
- d = 1.626 Å, 2θ = 56.61°, intensity 32.3
- d = 1.856 Å, 2θ = 49.08°, intensity 31.8
- d = 11.454 Å, 2θ = 7.72°, intensity 22.0
- d = 1.586 Å, 2θ = 58.15°, intensity 21.9
- d = 1.969 Å, 2θ = 46.09°, intensity 20.7

No. 4
# Sr4CaFe5O15
Computed PXRD pattern, CuKα. Input: a structure optimized by DFT (GGA+U).

Structure:
```
Sr4CaFe5O15
1.0
8.716 0.000 0.000
0.000 3.904 0.000
-0.006 0.000 8.722
Sr Ca Fe O
4 1 5 15
Direct
0.100 0.000 0.200
0.301 0.000 0.601
0.699 0.000 0.399
0.900 0.000 0.800
0.500 0.000 0.000
0.000 0.500 0.500
0.201 0.500 0.900
0.401 0.500 0.299
0.599 0.500 0.701
0.799 0.500 0.100
0.000 0.000 0.500
0.000 0.500 0.000
0.102 0.500 0.700
0.201 0.500 0.398
0.205 0.000 0.901
0.304 0.500 0.098
0.402 0.000 0.296
0.402 0.500 0.803
0.500 0.500 0.500
0.598 0.000 0.704
0.598 0.500 0.197
0.696 0.500 0.902
0.795 0.000 0.099
0.799 0.500 0.602
0.898 0.500 0.300
```

Principal peaks in the range 2θ from 5° to 70°, in order of falling intensity:
- d = 2.758 Å, 2θ = 32.46°, intensity 100.0
- d = 1.951 Å, 2θ = 46.56°, intensity 40.2
- d = 1.593 Å, 2θ = 57.90°, intensity 37.2
- d = 1.379 Å, 2θ = 67.95°, intensity 18.9
- d = 2.252 Å, 2θ = 40.03°, intensity 11.8
- d = 1.378 Å, 2θ = 68.04°, intensity 3.8
- d = 8.719 Å, 2θ = 10.15°, intensity 2.0
- d = 6.165 Å, 2θ = 14.37°, intensity 1.0
- d = 3.563 Å, 2θ = 24.99°, intensity 0.7
- d = 2.908 Å, 2θ = 30.75°, intensity 0.7
- d = 3.299 Å, 2θ = 27.03°, intensity 0.6
- d = 4.360 Å, 2θ = 20.37°, intensity 0.6

No. 5
# Li3Fe2OF5
Computed PXRD pattern, CuKα. Input: a structure optimized by DFT (GGA+U).

Structure:
```
Li3Fe2OF5
1.0
3.047 -4.284 0.000
3.047 4.284 0.000
-2.959 0.000 8.968
Li Fe O F
6 4 2 10
Direct
0.000 0.000 0.000
0.079 0.576 0.148
0.328 0.328 0.656
0.424 0.921 0.852
0.672 0.672 0.344
0.747 0.253 0.500
0.176 0.170 0.347
0.253 0.747 0.500
0.502 0.498 0.000
0.830 0.824 0.653
0.001 0.999 0.500
0.502 0.498 0.500
0.094 0.582 0.667
0.177 0.132 0.837
0.267 0.733 0.000
0.302 0.341 0.164
0.418 0.906 0.333
0.564 0.071 0.663
0.659 0.698 0.836
0.736 0.264 0.000
0.868 0.823 0.163
0.929 0.436 0.337
```

Principal peaks in the range 2θ from 5° to 70°, in order of falling intensity:
- d = 2.143 Å, 2θ = 42.16°, intensity 100.0
- d = 3.835 Å, 2θ = 23.19°, intensity 61.1
- d = 3.805 Å, 2θ = 23.38°, intensity 60.2
- d = 2.124 Å, 2θ = 42.57°, intensity 49.2
- d = 4.787 Å, 2θ = 18.54°, intensity 36.1
- d = 8.968 Å, 2θ = 9.86°, intensity 30.7
- d = 1.508 Å, 2θ = 61.49°, intensity 26.7
- d = 1.516 Å, 2θ = 61.15°, intensity 26.5
- d = 4.284 Å, 2θ = 20.73°, intensity 18.2
- d = 2.377 Å, 2θ = 37.84°, intensity 18.0
- d = 2.370 Å, 2θ = 37.96°, intensity 17.8
- d = 1.524 Å, 2θ = 60.79°, intensity 14.4

No. 6
# MgCo6O9F3
Computed PXRD pattern, CuKα. Input: a structure optimized by DFT (GGA+U).

Structure:
```
MgCo6O9F3
1.0
4.968 0.000 0.000
1.066 4.864 0.000
0.251 0.088 8.609
Mg Co O F
1 6 9 3
Direct
0.000 0.000 0.000
0.392 0.948 0.506
0.474 0.029 0.176
0.534 0.110 0.820
0.950 0.515 0.002
0.961 0.524 0.666
0.985 0.537 0.340
0.101 0.692 0.158
0.141 0.708 0.507
0.258 0.196 0.340
0.271 0.218 0.662
0.277 0.225 0.002
0.633 0.804 0.339
0.646 0.827 0.664
0.660 0.839 0.998
0.801 0.322 0.840
0.137 0.727 0.838
0.783 0.273 0.162
0.794 0.348 0.498
```

Principal peaks in the range 2θ from 5° to 70°, in order of falling intensity:
- d = 3.874 Å, 2θ = 22.96°, intensity 100.0
- d = 3.118 Å, 2θ = 28.63°, intensity 78.9
- d = 2.499 Å, 2θ = 35.94°, intensity 26.4
- d = 2.442 Å, 2θ = 36.81°, intensity 21.9
- d = 2.483 Å, 2θ = 36.18°, intensity 21.7
- d = 2.316 Å, 2θ = 38.89°, intensity 17.4
- d = 2.461 Å, 2θ = 36.52°, intensity 17.1
- d = 1.644 Å, 2θ = 55.94°, intensity 15.7
- d = 1.559 Å, 2θ = 59.29°, intensity 15.4
- d = 1.857 Å, 2θ = 49.06°, intensity 14.9
- d = 1.648 Å, 2θ = 55.80°, intensity 14.3
- d = 1.435 Å, 2θ = 65.00°, intensity 13.9

No. 7
# Ca2GaFeO5
Computed PXRD pattern, CuKα. Input: a structure optimized by DFT (GGA+U).

Structure:
```
Ca2GaFeO5
1.0
5.482 0.000 0.000
0.000 14.736 0.000
0.000 0.000 5.687
Ca Ga Fe O
8 4 4 20
Direct
0.021 0.108 0.028
0.021 0.392 0.028
0.479 0.608 0.528
0.479 0.892 0.528
0.521 0.108 0.472
0.521 0.392 0.472
0.979 0.608 0.972
0.979 0.892 0.972
0.048 0.250 0.571
0.452 0.750 0.071
0.548 0.250 0.929
0.952 0.750 0.429
0.000 0.000 0.500
0.000 0.500 0.500
0.500 0.000 0.000
0.500 0.500 0.000
0.033 0.643 0.575
0.033 0.857 0.575
0.105 0.750 0.127
0.237 0.515 0.236
0.237 0.985 0.236
0.263 0.015 0.736
0.263 0.485 0.736
0.395 0.250 0.627
0.467 0.143 0.075
0.467 0.357 0.075
0.533 0.643 0.925
0.533 0.857 0.925
0.605 0.750 0.373
0.737 0.515 0.264
0.737 0.985 0.264
0.763 0.015 0.764
0.763 0.485 0.764
0.895 0.250 0.873
0.967 0.143 0.425
0.967 0.357 0.425
```

Principal peaks in the range 2θ from 5° to 70°, in order of falling intensity:
- d = 2.693 Å, 2θ = 33.27°, intensity 100.0
- d = 2.741 Å, 2θ = 32.67°, intensity 40.8
- d = 1.973 Å, 2θ = 45.99°, intensity 35.0
- d = 2.843 Å, 2θ = 31.46°, intensity 32.1
- d = 3.947 Å, 2θ = 22.53°, intensity 18.1
- d = 1.842 Å, 2θ = 49.48°, intensity 17.3
- d = 1.573 Å, 2θ = 58.69°, intensity 16.9
- d = 1.611 Å, 2θ = 57.17°, intensity 15.1
- d = 3.717 Å, 2θ = 23.94°, intensity 13.3
- d = 1.347 Å, 2θ = 69.85°, intensity 12.7
- d = 3.684 Å, 2θ = 24.16°, intensity 11.4
- d = 2.617 Å, 2θ = 34.27°, intensity 10.5

No. 8
# Li5Fe3Co2O10
Computed PXRD pattern, CuKα. Input: a structure optimized by DFT (GGA+U).

Structure:
```
Li5Fe3Co2O10
1.0
5.068 0.000 0.000
-1.029 5.083 0.000
-1.509 -2.779 7.260
Li Fe Co O
5 3 2 10
Direct
0.000 0.000 0.000
0.122 0.214 0.728
0.287 0.587 0.087
0.713 0.413 0.913
0.878 0.786 0.272
0.191 0.394 0.393
0.500 0.000 0.500
0.809 0.606 0.607
0.401 0.808 0.817
0.599 0.192 0.183
0.057 0.603 0.836
0.159 0.785 0.551
0.273 0.026 0.265
0.365 0.186 0.954
0.452 0.388 0.636
0.548 0.612 0.364
0.635 0.814 0.046
0.727 0.974 0.735
0.841 0.215 0.449
0.943 0.397 0.164
```

Principal peaks in the range 2θ from 5° to 70°, in order of falling intensity:
- d = 4.845 Å, 2θ = 18.31°, intensity 100.0
- d = 2.143 Å, 2θ = 42.17°, intensity 76.6
- d = 2.137 Å, 2θ = 42.29°, intensity 74.5
- d = 7.260 Å, 2θ = 12.19°, intensity 69.4
- d = 2.042 Å, 2θ = 44.37°, intensity 65.8
- d = 1.476 Å, 2θ = 62.95°, intensity 57.1
- d = 4.784 Å, 2θ = 18.55°, intensity 40.2
- d = 2.421 Å, 2θ = 37.14°, intensity 32.4
- d = 2.578 Å, 2θ = 34.80°, intensity 30.7
- d = 3.957 Å, 2θ = 22.47°, intensity 30.1
- d = 3.360 Å, 2θ = 26.53°, intensity 28.3
- d = 2.442 Å, 2θ = 36.81°, intensity 25.6